Entry 1:
The following is a simulated powder diffraction line list of LaPm2Nd2Y2. It was derived from a PBE-relaxed structure, using CuKα.
Peak positions follow from Bragg's law for the DFT cell and can differ from measured ones.

Structural model:
a = 11.901 Å, b = 3.584 Å, c = 12.135 Å
α = 90.00°, β = 109.52°, γ = 90.00°
Space group C2/m (No. 12)
Symmetry-distinct sites (fractional):
La 0.000 0.000 0.000 (multiplicity 2)
Pm 0.054 0.500 0.272 (multiplicity 4)
Nd 0.167 0.500 0.581 (multiplicity 4)
Y 0.222 0.000 0.861 (multiplicity 4)

Principal peaks in the range 10 to 90 degrees two-theta, sorted by position:
hkl 1 1 1, 2θ 28.03, intensity 55
hkl 2 0 -4, 2θ 29.96, intensity 98
hkl 4 0 -1, 2θ 30.17, intensity 84
hkl 1 1 2, 2θ 31.87, intensity 100
hkl 2 0 3, 2θ 32.51, intensity 68
hkl 3 1 -2, 2θ 34.60, intensity 81

---

Entry 2:
The following is a simulated powder diffraction line list of LiMgV. It was derived from a PBE-relaxed structure, using CuKα.
Peak positions follow from Bragg's law for the DFT cell and can differ from measured ones.

Structural model:
a = 2.832 Å, b = 5.746 Å, c = 6.928 Å
α = 71.58°, β = 79.55°, γ = 80.24°
Space group P-1 (No. 2)
Symmetry-distinct sites (fractional):
Li 0.192 0.146 0.345 (multiplicity 2)
Mg 0.000 0.000 0.000 (multiplicity 1)
Mg 0.500 0.500 0.000 (multiplicity 1)
V 0.340 0.394 0.624 (multiplicity 2)

Principal peaks in the range 10 to 90 degrees two-theta, sorted by position:
hkl 0 1 0, 2θ 16.38, intensity 83
hkl 0 1 1, 2θ 17.97, intensity 100
hkl 0 2 2, 2θ 36.39, intensity 50
hkl 1 1 2, 2θ 38.12, intensity 44
hkl 1 -1 0, 2θ 38.29, intensity 41
hkl 1 1 -1, 2θ 40.79, intensity 27

---

Entry 3:
The following is a simulated powder diffraction line list of CdCuHg. It was derived from a PBE-relaxed structure, using CuKα.
Peak positions follow from Bragg's law for the DFT cell and can differ from measured ones.

Structural model:
a = 5.453 Å, b = 9.113 Å, c = 18.700 Å
α = 90.00°, β = 90.00°, γ = 90.00°
Space group Fddd (No. 70, origin choice 2)
Symmetry-distinct sites (fractional):
Cd 0.125 0.125 0.041 (multiplicity 16)
Cu 0.125 0.125 0.498 (multiplicity 16)
Hg 0.125 0.294 0.625 (multiplicity 16)

Principal peaks in the range 10 to 90 degrees two-theta, sorted by position:
hkl 1 3 1, 2θ 34.12, intensity 98
hkl 2 0 2, 2θ 34.26, intensity 100
hkl 0 2 6, 2θ 34.88, intensity 67
hkl 1 3 3, 2θ 36.81, intensity 79
hkl 1 1 7, 2θ 38.82, intensity 68
hkl 2 2 4, 2θ 43.24, intensity 88

---

Entry 4:
The following is a simulated powder diffraction line list of Pa6Si2Tc. It was derived from a PBE-relaxed structure, using CuKα.
Peak positions follow from Bragg's law for the DFT cell and can differ from measured ones.

Structural model:
a = 8.3143 Å, b = 8.3143 Å, c = 3.2257 Å
α = 90.00°, β = 90.00°, γ = 120.00°
Space group P-3 (No. 147)
Symmetry-distinct sites (fractional):
Pa 0.0493 0.6907 0.2322 (multiplicity 6)
Si 0.3333 0.6667 0.7361 (multiplicity 2)
Tc 0.0000 0.0000 0.5000 (multiplicity 1)

Principal peaks in the range 10 to 90 degrees two-theta, sorted by position:
hkl 1 1 0, 2θ 21.37, intensity 31
hkl 2 1 0, 2θ 32.91, intensity 28
hkl 2 -1 1, 2θ 35.22, intensity 100
hkl 3 0 0, 2θ 37.46, intensity 68
hkl 2 2 1, 2θ 52.36, intensity 21
hkl 5 -3 1, 2θ 63.24, intensity 15

---

Entry 5:
The following is a simulated powder diffraction line list of Cs3In2PbI9. It was derived from a PBE-relaxed structure, using CuKα.
Peak positions follow from Bragg's law for the DFT cell and can differ from measured ones.

Structural model:
a = 8.8264 Å, b = 8.8264 Å, c = 10.7969 Å
α = 90.00°, β = 90.00°, γ = 120.00°
Space group P-3m1 (No. 164)
Symmetry-distinct sites (fractional):
Cs 0.0000 0.0000 0.0000 (multiplicity 1)
Cs 0.3333 0.6667 0.6582 (multiplicity 2)
In 0.3333 0.6667 0.1564 (multiplicity 2)
Pb 0.0000 0.0000 0.5000 (multiplicity 1)
I 0.0000 0.5000 0.0000 (multiplicity 3)
I 0.1713 0.3427 0.3301 (multiplicity 6)

Principal peaks in the range 10 to 90 degrees two-theta, sorted by position:
hkl 0 0 3, 2θ 24.72, intensity 60
hkl 2 0 2, 2θ 28.62, intensity 100
hkl 2 2 0, 2θ 40.91, intensity 75
hkl 2 0 5, 2θ 48.39, intensity 28
hkl 0 4 2, 2θ 50.69, intensity 26
hkl 4 2 2, 2θ 67.09, intensity 34

---

Entry 6:
The following is a simulated powder diffraction line list of NdCd6Au4. It was derived from a PBE-relaxed structure, using CuKα.
Peak positions follow from Bragg's law for the DFT cell and can differ from measured ones.

Structural model:
a = 8.4849 Å, b = 8.4849 Å, c = 3.9950 Å
α = 90.00°, β = 90.00°, γ = 120.00°
Space group P-6m2 (No. 187)
Symmetry-distinct sites (fractional):
Nd 0.0000 0.0000 0.0000 (multiplicity 1)
Cd 0.1984 0.3968 0.5000 (multiplicity 3)
Cd 0.5382 0.0765 0.0000 (multiplicity 3)
Au 0.3333 0.6667 0.0000 (multiplicity 1)
Au 0.3492 0.1746 0.5000 (multiplicity 3)

Principal peaks in the range 10 to 90 degrees two-theta, sorted by position:
hkl 2 0 0, 2θ 24.22, intensity 35
hkl 1 1 1, 2θ 30.74, intensity 63
hkl 2 0 1, 2θ 33.13, intensity 100
hkl 2 1 1, 2θ 39.52, intensity 79
hkl 2 2 0, 2θ 42.62, intensity 68
hkl 2 2 2, 2θ 64.03, intensity 40